1.
Simulated powder XRD pattern
Compound: La2Ho7Tm4
Radiation: λ = 1.5418 Å (Cu Kα)
Structure: a crystal structure in Alexandria, relaxed with GGA-PBE
Lines closer than 0.1° are merged.

Structural model:
```
La2Ho7Tm4
1.0
6.0497 0.0000 0.0000
-3.0248 5.2392 0.0000
0.0000 0.0000 13.2884
La Ho Tm
2 7 4
Cartesian
0.0000 3.4928 0.0000 La
3.0248 1.7464 0.0000 La
0.0000 0.0000 0.0000 Ho
-1.0686 1.8508 2.9002 Ho
-1.9563 3.3883 10.3881 Ho
2.1372 0.0000 2.9002 Ho
1.0686 1.8508 10.3881 Ho
3.9125 0.0000 10.3881 Ho
1.9563 3.3883 2.9002 Ho
0.0000 0.0000 5.2564 Tm
0.0000 0.0000 8.0319 Tm
0.0000 3.4928 6.6442 Tm
3.0248 1.7464 6.6442 Tm
```

Top 10 peaks for 10° ≤ 2θ ≤ 80°, by angle:
2theta  d (Å)  intensity
26.84  3.322  21
29.53  3.025  14
30.30  2.949  49
31.90  2.806  14
32.52  2.753  100
33.72  2.658  13
35.95  2.498  31
51.12  1.787  19
52.39  1.746  30
63.02  1.475  18

2.
Simulated powder XRD pattern
Compound: Ag5Pb3
Radiation: λ = 1.5418 Å (Cu Kα)
Structure: a crystal structure in Alexandria, relaxed with GGA-PBE
Lines closer than 0.1° are merged.

Structural model:
```
Ag5Pb3
1.0
2.7503 -8.7081 0.0000
2.7503 8.7081 0.0000
-2.7229 0.0000 7.9341
Ag Pb
10 6
Cartesian
0.0002 6.2179 6.5096 Ag
2.7775 6.2179 1.4245 Ag
1.3693 0.0000 0.0354 Ag
0.0161 1.4675 5.7359 Ag
0.0161 -1.4675 5.7359 Ag
2.7616 1.4675 2.1982 Ag
2.7616 -1.4675 2.1982 Ag
1.4084 0.0000 7.8987 Ag
0.0002 -6.2179 6.5096 Ag
2.7775 -6.2179 1.4245 Ag
0.0196 0.0000 2.9489 Pb
1.3888 5.1755 3.9670 Pb
2.7503 3.3835 0.0000 Pb
2.7503 -3.3835 0.0000 Pb
1.3888 -5.1755 3.9670 Pb
2.7581 0.0000 4.9852 Pb
```

Top 10 peaks for 10° ≤ 2θ ≤ 80°, by angle:
2theta  d (Å)  intensity
22.98  3.870  22
24.66  3.610  24
30.48  2.932  35
32.56  2.750  21
34.87  2.573  84
36.08  2.490  100
36.20  2.481  55
39.85  2.262  20
40.19  2.244  50
43.44  2.083  27

3.
Simulated powder XRD pattern
Compound: ErCrC
Radiation: λ = 1.5418 Å (Cu Kα)
Structure: a crystal structure in Alexandria, relaxed with GGA-PBE
Lines closer than 0.1° are merged.

Structural model:
```
ErCrC
1.0
3.4821 0.0000 0.0000
-1.7411 3.0156 0.0000
0.0000 0.0000 4.0231
Er Cr C
1 1 1
Cartesian
0.0000 0.0000 0.0000 Er
1.7411 1.0052 2.0116 Cr
0.0000 2.0104 2.0116 C
```

Top 10 peaks for 10° ≤ 2θ ≤ 80°, by angle:
2theta  d (Å)  intensity
22.09  4.023  15
29.62  3.016  43
37.26  2.413  100
45.07  2.012  12
52.56  1.741  23
54.86  1.673  16
57.69  1.598  8
66.19  1.412  18
71.69  1.316  18
77.97  1.225  11

4.
Simulated powder XRD pattern
Compound: BaInHgAu
Radiation: λ = 1.5418 Å (Cu Kα)
Structure: a crystal structure in Alexandria, relaxed with GGA-PBE
Lines closer than 0.1° are merged.

Structural model:
```
BaInHgAu
1.0
8.7637 0.0000 0.0000
0.0000 5.0591 0.0000
-2.9112 0.0000 5.3873
Ba In Hg Au
2 2 2 2
Cartesian
0.0000 0.0000 0.0000 Ba
4.3819 2.5295 0.0000 Ba
-1.4498 2.5295 3.2358 In
2.9321 0.0000 3.2358 In
1.4609 2.5295 1.8286 Hg
5.8427 0.0000 1.8286 Hg
0.0107 0.0000 3.3594 Au
4.3925 2.5295 3.3594 Au
```

Top 10 peaks for 10° ≤ 2θ ≤ 80°, by angle:
2theta  d (Å)  intensity
16.45  5.387  23
30.09  2.970  77
34.48  2.601  55
35.49  2.530  100
47.19  1.926  22
50.31  1.814  19
60.41  1.532  21
63.07  1.474  19
63.51  1.465  18
63.72  1.461  18

5.
Simulated powder XRD pattern
Compound: K3Tl4Sb2Pb2
Radiation: λ = 1.5418 Å (Cu Kα)
Structure: a crystal structure in Alexandria, relaxed with GGA-PBE
Lines closer than 0.1° are merged.

Structural model:
```
K3Tl4Sb2Pb2
1.0
5.4251 0.0000 0.0000
-2.7125 4.6983 0.0000
0.0000 0.0000 15.6109
K Tl Sb Pb
3 4 2 2
Cartesian
0.0000 0.0000 0.0000 K
0.0000 0.0000 3.9501 K
0.0000 0.0000 11.6607 K
0.0000 3.1322 5.6457 Tl
0.0000 3.1322 14.3199 Tl
2.7125 1.5661 1.2910 Tl
2.7125 1.5661 9.9652 Tl
0.0000 3.1322 2.0870 Sb
2.7125 1.5661 13.5238 Sb
0.0000 3.1322 8.8193 Pb
2.7125 1.5661 6.7915 Pb
```

Top 10 peaks for 10° ≤ 2θ ≤ 80°, by angle:
2theta  d (Å)  intensity
18.89  4.698  56
25.54  3.487  22
29.76  3.002  33
33.02  2.713  100
34.49  2.600  76
40.50  2.227  24
48.49  1.877  35
56.56  1.627  21
58.98  1.566  19
59.93  1.544  30

6.
Simulated powder XRD pattern
Compound: PaAlZnO6
Radiation: λ = 1.5418 Å (Cu Kα)
Structure: a crystal structure in Alexandria, relaxed with GGA-PBE
Lines closer than 0.1° are merged.

Structural model:
```
PaAlZnO6
1.0
5.0591 0.0000 0.0000
-2.5296 4.3814 0.0000
0.0000 0.0000 4.7780
Pa Al Zn O
1 1 1 6
Cartesian
0.0000 0.0000 0.0000 Pa
2.5296 1.4604 2.3890 Al
0.0000 2.9209 2.3890 Zn
1.7576 0.0937 3.4756 O
0.9599 1.4753 1.3024 O
3.3015 0.0937 1.3024 O
1.7319 2.8124 3.4756 O
4.0992 1.4753 3.4756 O
3.3273 2.8124 1.3024 O
```

Top 10 peaks for 10° ≤ 2θ ≤ 80°, by angle:
2theta  d (Å)  intensity
20.27  4.381  40
27.62  3.229  100
35.49  2.530  26
40.34  2.236  12
43.13  2.097  14
45.55  1.991  26
52.70  1.737  29
59.04  1.565  24
62.00  1.497  10
63.72  1.460  10